# Ce2Si5Ir3
Theoretical powder X-ray diffraction pattern, Cu Kα (weighted mean of Kα1 and Kα2). Input: the GGA-PBE geometry in the Materials Project.
Peak positions follow from Bragg's law for the DFT cell and can differ from measured ones.

Cell and atoms:
```
data_Ce2Si5Ir3
_cell_length_a 8.1987
_cell_length_b 8.1987
_cell_length_c 8.1987
_cell_angle_alpha 104.73
_cell_angle_beta 90.25
_cell_angle_gamma 137.85
_space_group_name_H-M_alt 'P 1'
_space_group_IT_number 1
loop_
_space_group_symop_operation_xyz
'x,y,z'
loop_
_atom_site_label
_atom_site_type_symbol
_atom_site_fract_x
_atom_site_fract_y
_atom_site_fract_z
Ce1 Ce 0.1316 0.2303 0.3618
Ce2 Ce 0.3684 0.7303 0.0987
Ce3 Ce 0.6316 0.2697 0.9013
Ce4 Ce 0.8684 0.7697 0.6382
Si1 Si 0.0234 0.7500 0.2734
Si2 Si 0.1072 0.6531 0.7603
Si3 Si 0.2500 0.2500 0.0000
Si4 Si 0.3928 0.1531 0.5459
Si5 Si 0.4766 0.7500 0.7266
Si6 Si 0.5234 0.2500 0.2734
Si7 Si 0.6072 0.8469 0.4541
Si8 Si 0.7500 0.7500 0.0000
Si9 Si 0.8928 0.3469 0.2397
Si10 Si 0.9766 0.2500 0.7266
Ir1 Ir 0.1390 0.8860 0.0250
Ir2 Ir 0.2500 0.7500 0.5000
Ir3 Ir 0.3610 0.3860 0.7471
Ir4 Ir 0.6390 0.6140 0.2529
Ir5 Ir 0.7500 0.2500 0.5000
Ir6 Ir 0.8610 0.1140 0.9750
```

Main lines, sorted by position (10 to 90 degrees two-theta):
2θ 24.6, intensity 281
2θ 24.7, intensity 527
2θ 27.8, intensity 270
2θ 30.3, intensity 199
2θ 32.6, intensity 416
2θ 34.6, intensity 1000
2θ 35.3, intensity 362
2θ 35.9, intensity 340
2θ 43.8, intensity 676
2θ 50.7, intensity 191
2θ 56.6, intensity 244
2θ 57.4, intensity 198